Starting from a crystal structure in Alexandria, relaxed with GGA-PBE, the XRD peak list of AlVGe2Mo was simulated for Cu Kα (weighted mean of Kα1 and Kα2).

a b c (Å): 4.6959 4.6959 4.5935
angles (deg): 90.00 90.00 90.00
Space group P4/mmm (No. 123)
One atom of each set of equivalent atoms:
Al 0.0000 0.0000 0.0000
V 0.5000 0.5000 0.5000
Ge 0.0000 0.5000 0.5000
Mo 0.5000 0.5000 0.0000

The 10 most intense peaks (2θ = 10–90°), by intensity:
33.29 deg, d = 2.691 Å, intensity 100, (1 1 1)
38.34 deg, d = 2.348 Å, intensity 71, (2 0 0)
18.90 deg, d = 4.696 Å, intensity 61, (1 0 0)
56.01 deg, d = 1.642 Å, intensity 45, (2 0 2)
39.23 deg, d = 2.297 Å, intensity 33, (0 0 2)
66.13 deg, d = 1.413 Å, intensity 27, (3 1 1)
55.33 deg, d = 1.660 Å, intensity 23, (2 2 0)
69.91 deg, d = 1.346 Å, intensity 23, (2 2 2)
43.07 deg, d = 2.100 Å, intensity 14, (2 1 0)
43.88 deg, d = 2.063 Å, intensity 13, (1 0 2)

---

Starting from a crystal structure in Alexandria, relaxed with GGA-PBE, the XRD peak list of NaAlGe was simulated for Cu Kα (weighted mean of Kα1 and Kα2).

a b c (Å): 4.0001 4.0001 15.9390
angles (deg): 90.00 90.00 90.00
Space group I4/mmm (No. 139)
One atom of each set of equivalent atoms:
Na 0.0000 0.0000 0.1834
Al 0.0000 0.5000 0.0000
Ge 0.0000 0.0000 0.3856

The 10 most intense peaks (2θ = 10–90°), by intensity:
39.05 deg, d = 2.307 Å, intensity 100, (1 1 4)
36.03 deg, d = 2.493 Å, intensity 95, (1 0 5)
22.92 deg, d = 3.880 Å, intensity 84, (1 0 1)
45.34 deg, d = 2.000 Å, intensity 50, (2 0 0)
31.63 deg, d = 2.829 Å, intensity 45, (1 1 0)
59.23 deg, d = 1.560 Å, intensity 43, (2 1 5)
11.10 deg, d = 7.970 Å, intensity 26, (0 0 2)
56.86 deg, d = 1.619 Å, intensity 24, (1 0 9)
79.50 deg, d = 1.206 Å, intensity 24, (3 1 4)
22.31 deg, d = 3.985 Å, intensity 23, (0 0 4)

---

Starting from a crystal structure in Alexandria, relaxed with GGA-PBE, the XRD peak list of Na2AlGeO4 was simulated for Cu Kα (weighted mean of Kα1 and Kα2).

a b c (Å): 5.1975 5.1975 8.1441
angles (deg): 90.00 90.00 90.00
Space group I-4 (No. 82)
One atom of each set of equivalent atoms:
Na 0.0000 0.0000 0.0000
Na 0.0000 0.5000 0.2500
Al 0.0000 0.0000 0.5000
Ge 0.0000 0.5000 0.7500
O 0.1636 0.2403 0.6215

The 10 most intense peaks (2θ = 10–90°), by intensity:
32.83 deg, d = 2.728 Å, intensity 100, (1 1 2)
20.27 deg, d = 4.381 Å, intensity 54, (1 0 1)
60.77 deg, d = 1.524 Å, intensity 28, (1 3 2)
57.50 deg, d = 1.603 Å, intensity 26, (2 0 4)
49.61 deg, d = 1.838 Å, intensity 18, (2 2 0)
34.51 deg, d = 2.599 Å, intensity 17, (2 0 0)
40.35 deg, d = 2.235 Å, intensity 11, (2 1 1)
51.78 deg, d = 1.766 Å, intensity 10, (1 2 3)
74.52 deg, d = 1.273 Å, intensity 9, (1 1 6)
24.22 deg, d = 3.675 Å, intensity 8, (1 1 0)

---

Starting from a crystal structure in Alexandria, relaxed with GGA-PBE, the XRD peak list of Na4Al3Ge3O13 was simulated for Cu Kα (weighted mean of Kα1 and Kα2).

a b c (Å): 12.7352 12.7352 15.5831
angles (deg): 90.00 90.00 120.00
Space group R3c (No. 161, hexagonal axes)
One atom of each set of equivalent atoms:
Na 0.0000 0.0000 0.0000
Na 0.1043 0.2087 0.2096
Al 0.0003 0.2503 0.4085
Ge 0.0000 0.2501 0.9085
O 0.0000 0.0000 0.1671
O 0.0020 0.2801 0.7978
O 0.0022 0.2807 0.2976
O 0.0925 0.1845 0.4260
O 0.1865 0.3730 0.1132

The 10 most intense peaks (2θ = 10–90°), by intensity:
24.22 deg, d = 3.675 Å, intensity 100, (1 0 4)
13.91 deg, d = 6.366 Å, intensity 81, (1 1 0)
34.51 deg, d = 2.599 Å, intensity 48, (0 4 2)
22.08 deg, d = 4.026 Å, intensity 43, (1 1 3)
37.38 deg, d = 2.406 Å, intensity 38, (1 1 6)
57.95 deg, d = 1.591 Å, intensity 35, (4 4 0)
31.42 deg, d = 2.847 Å, intensity 31, (3 1 2)
69.23 deg, d = 1.357 Å, intensity 17, (4 0 10)
59.91 deg, d = 1.544 Å, intensity 15, (0 7 2)
19.72 deg, d = 4.501 Å, intensity 13, (2 0 2)